1.
# Ca2Nb2SbO8
Calculated X-ray diffraction stick pattern, λ = 1.5418 Å (Cu Kα). Input: a DFT-relaxed cell (GGA-PBE, the Materials Project).
Intensities are scaled so that the largest is 100.

Main lines, low angle first (2θ = 10–90°):
24.64°, I = 39
25.36°, I = 36
26.45°, I = 39
30.13°, I = 69
30.73°, I = 78
30.88°, I = 100
31.57°, I = 49
32.59°, I = 65

Cell: 5.499 6.926 10.282 Å, 71.26 88.43 88.42°
Space group P-1 (No. 2)
Symmetry-distinct sites (fractional):
Ca 0.241 0.359 0.075 [2 per cell]
Ca 0.251 0.947 0.919 [2 per cell]
Nb 0.258 0.757 0.257 [2 per cell]
Nb 0.263 0.502 0.747 [2 per cell]
Sb 0.228 0.189 0.495 [2 per cell]
O 0.024 0.614 0.125 [2 per cell]
O 0.079 0.721 0.623 [2 per cell]
O 0.099 0.300 0.646 [2 per cell]
O 0.151 0.021 0.122 [2 per cell]
O 0.357 0.648 0.869 [2 per cell]
O 0.394 0.444 0.361 [2 per cell]
O 0.416 0.879 0.364 [2 per cell]
O 0.476 0.244 0.886 [2 per cell]

2.
# Ca13Nb3Si8O36
Calculated X-ray diffraction stick pattern, λ = 1.5418 Å (Cu Kα). Input: a DFT-relaxed cell (GGA-PBE, the Materials Project).
Intensities are scaled so that the largest is 100.

Main lines, low angle first (2θ = 10–90°):
11.97°, I = 27
15.26°, I = 17
27.15°, I = 32
29.55°, I = 100
30.75°, I = 41
30.92°, I = 32
30.95°, I = 29
49.38°, I = 22

Cell: 7.382 10.536 10.993 Å, 89.95 70.62 89.82°
Space group P1 (No. 1)
Symmetry-distinct sites (fractional):
Ca 0.000 0.000 0.000 [1 per cell]
Ca 0.001 0.310 0.495 [1 per cell]
Ca 0.135 0.522 0.735 [1 per cell]
Ca 0.293 0.019 0.397 [1 per cell]
Ca 0.313 0.280 0.879 [1 per cell]
Ca 0.429 0.805 0.633 [1 per cell]
Ca 0.443 0.501 0.127 [1 per cell]
Ca 0.495 0.320 0.510 [1 per cell]
Ca 0.500 0.002 0.006 [1 per cell]
Ca 0.617 0.528 0.755 [1 per cell]
Ca 0.645 0.782 0.237 [1 per cell]
Ca 0.930 0.488 0.143 [1 per cell]
Ca 0.931 0.806 0.634 [1 per cell]
Nb 0.127 0.788 0.248 [1 per cell]
Nb 0.811 0.016 0.382 [1 per cell]
Nb 0.818 0.292 0.875 [1 per cell]
Si 0.195 0.094 0.678 [1 per cell]
Si 0.196 0.212 0.185 [1 per cell]
Si 0.306 0.727 0.945 [1 per cell]
Si 0.311 0.593 0.438 [1 per cell]
Si 0.624 0.221 0.192 [1 per cell]
Si 0.625 0.073 0.696 [1 per cell]
Si 0.740 0.711 0.955 [1 per cell]
Si 0.745 0.593 0.446 [1 per cell]
O 0.007 0.901 0.416 [1 per cell]
O 0.038 0.143 0.814 [1 per cell]
O 0.039 0.154 0.318 [1 per cell]
O 0.164 0.665 0.083 [1 per cell]
O 0.175 0.947 0.641 [1 per cell]
O 0.178 0.363 0.167 [1 per cell]
O 0.206 0.680 0.563 [1 per cell]
O 0.215 0.134 0.053 [1 per cell]
O 0.222 0.180 0.549 [1 per cell]
O 0.259 0.445 0.469 [1 per cell]
O 0.280 0.880 0.951 [1 per cell]
O 0.291 0.643 0.301 [1 per cell]
O 0.306 0.665 0.811 [1 per cell]
O 0.357 0.885 0.214 [1 per cell]
O 0.397 0.175 0.218 [1 per cell]
O 0.398 0.112 0.713 [1 per cell]
O 0.405 0.403 0.707 [1 per cell]
O 0.519 0.677 0.951 [1 per cell]
O 0.547 0.618 0.406 [1 per cell]
O 0.578 0.381 0.938 [1 per cell]
O 0.581 0.919 0.427 [1 per cell]
O 0.640 0.373 0.204 [1 per cell]
O 0.647 0.146 0.822 [1 per cell]
O 0.649 0.922 0.701 [1 per cell]
O 0.662 0.149 0.314 [1 per cell]
O 0.715 0.668 0.580 [1 per cell]
O 0.737 0.627 0.081 [1 per cell]
O 0.745 0.159 0.051 [1 per cell]
O 0.753 0.861 0.993 [1 per cell]
O 0.755 0.130 0.552 [1 per cell]
O 0.780 0.442 0.454 [1 per cell]
O 0.875 0.666 0.813 [1 per cell]
O 0.890 0.373 0.713 [1 per cell]
O 0.899 0.659 0.317 [1 per cell]
O 0.919 0.914 0.216 [1 per cell]
O 0.994 0.385 0.935 [1 per cell]

3.
# CaTiNbSnO6
Calculated X-ray diffraction stick pattern, λ = 1.5418 Å (Cu Kα). Input: a DFT-relaxed cell (GGA-PBE, the Materials Project).
Intensities are scaled so that the largest is 100.

Main lines, low angle first (2θ = 10–90°):
19.22°, I = 24
31.64°, I = 100
37.29°, I = 15
45.36°, I = 39
56.36°, I = 39
66.08°, I = 23
75.12°, I = 17
83.80°, I = 7

Cell: 7.998 7.998 7.998 Å, 90.00 90.00 90.00°
Space group F-43m (No. 216)
Symmetry-distinct sites (fractional):
Ca 0.000 0.000 0.000 [4 per cell]
Ti 0.250 0.250 0.750 [4 per cell]
Nb 0.250 0.250 0.250 [4 per cell]
Sn 0.000 0.000 0.500 [4 per cell]
O 0.003 0.250 0.750 [24 per cell]

4.
# SrCaTbNbO6
Calculated X-ray diffraction stick pattern, λ = 1.5418 Å (Cu Kα). Input: a DFT-relaxed cell (GGA-PBE, the Materials Project).
Intensities are scaled so that the largest is 100.

Main lines, low angle first (2θ = 10–90°):
21.06°, I = 25
29.96°, I = 100
42.88°, I = 34
48.25°, I = 10
53.20°, I = 40
62.26°, I = 21
70.62°, I = 18
86.30°, I = 21

Cell: 8.435 8.435 8.435 Å, 90.00 90.00 90.00°
Space group F-43m (No. 216)
Symmetry-distinct sites (fractional):
Sr 0.000 0.000 0.000 [4 per cell]
Ca 0.000 0.000 0.500 [4 per cell]
Tb 0.250 0.250 0.250 [4 per cell]
Nb 0.250 0.250 0.750 [4 per cell]
O 0.012 0.250 0.750 [24 per cell]